Entry 1:
This entry pairs a crystal structure of SmHo3Al8 with its computed X-ray diffraction stick pattern. Radiation: Cu Kα. Structure: a PBE-relaxed structure.

Cell and atoms:
```
SmHo3Al8
1.0
2.780 1.605 9.127
-2.780 1.605 9.127
0.000 -3.210 9.127
Sm Ho Al
1 3 8
direct
0.000 0.000 0.000 Sm
0.376 0.376 0.376 Ho
0.500 0.500 0.500 Ho
0.875 0.875 0.875 Ho
0.187 0.187 0.187 Al
0.437 0.437 0.937 Al
0.437 0.937 0.437 Al
0.439 0.938 0.938 Al
0.688 0.688 0.688 Al
0.937 0.437 0.437 Al
0.938 0.439 0.938 Al
0.938 0.938 0.439 Al
```

Principal peaks in the range 2θ = 10–90°, sorted by position:
Position (°2θ), d [Å], Rel. int.
19.52, 4.548, 86
32.08, 2.790, 68
32.20, 2.780, 67
37.86, 2.376, 100
37.95, 2.371, 33
57.12, 1.613, 13
57.36, 1.606, 39
61.18, 1.515, 33
67.10, 1.395, 14
67.37, 1.390, 14

---

Entry 2:
This entry pairs a crystal structure of CaTb3Er4Se8 with its computed X-ray diffraction stick pattern. Radiation: Cu Kα. Structure: a PBE-relaxed structure.

Cell and atoms:
```
CaTb3Er4Se8
1.0
4.076 2.353 6.653
-4.076 2.353 6.653
0.000 -4.707 6.653
Ca Tb Er Se
1 3 4 8
direct
0.000 0.000 0.000 Ca
0.000 0.500 0.500 Tb
0.500 0.000 0.500 Tb
0.500 0.500 0.000 Tb
0.000 0.000 0.500 Er
0.000 0.500 0.000 Er
0.500 0.000 0.000 Er
0.500 0.500 0.500 Er
0.248 0.248 0.248 Se
0.248 0.748 0.748 Se
0.252 0.252 0.752 Se
0.252 0.752 0.252 Se
0.748 0.248 0.748 Se
0.748 0.748 0.248 Se
0.752 0.252 0.252 Se
0.752 0.752 0.752 Se
```

Principal peaks in the range 2θ = 10–90°, sorted by position:
Position (°2θ), d [Å], Rel. int.
13.30, 6.655, 5
26.79, 3.328, 17
31.03, 2.882, 100
44.46, 2.038, 74
52.67, 1.738, 8
55.20, 1.664, 26
64.69, 1.441, 12
71.33, 1.322, 3
73.48, 1.289, 33
81.88, 1.177, 25

---

Entry 3:
This entry pairs a crystal structure of SmYNp2P4 with its computed X-ray diffraction stick pattern. Radiation: Cu Kα. Structure: a PBE-relaxed structure.

Cell and atoms:
```
SmYNp2P4
1.0
6.933 0.000 0.000
0.000 4.002 0.000
-2.312 0.000 6.547
Sm Y Np P
1 1 2 4
direct
0.000 0.000 0.000 Sm
0.500 0.500 0.000 Y
0.000 0.500 0.500 Np
0.500 0.000 0.500 Np
0.250 0.000 0.740 P
0.257 0.500 0.262 P
0.743 0.500 0.738 P
0.750 0.000 0.260 P
```

Principal peaks in the range 2θ = 10–90°, sorted by position:
Position (°2θ), d [Å], Rel. int.
13.53, 6.547, 19
26.11, 3.413, 12
27.27, 3.270, 94
31.60, 2.832, 100
45.29, 2.002, 74
53.68, 1.708, 46
56.27, 1.635, 26
65.98, 1.416, 12
75.00, 1.266, 33
83.69, 1.156, 19

---

Entry 4:
This entry pairs a crystal structure of Pm3Sm8Y4 with its computed X-ray diffraction stick pattern. Radiation: Cu Kα. Structure: a PBE-relaxed structure.

Cell and atoms:
```
Pm3Sm8Y4
1.0
6.963 -6.092 0.000
6.963 6.092 0.000
-3.367 0.000 6.056
Pm Sm Y
3 8 4
direct
0.000 0.000 0.000 Pm
0.000 0.500 0.000 Pm
0.500 0.000 0.000 Pm
0.203 0.203 0.689 Sm
0.203 0.797 0.500 Sm
0.251 0.749 0.000 Sm
0.252 0.252 0.230 Sm
0.748 0.748 0.770 Sm
0.749 0.251 0.000 Sm
0.797 0.203 0.500 Sm
0.797 0.797 0.311 Sm
0.000 0.500 0.500 Y
0.500 0.000 0.500 Y
0.500 0.500 0.000 Y
0.500 0.500 0.500 Y
```

Principal peaks in the range 2θ = 10–90°, sorted by position:
Position (°2θ), d [Å], Rel. int.
25.72, 3.464, 21
29.33, 3.045, 100
29.51, 3.027, 16
29.67, 3.011, 19
33.03, 2.712, 30
33.35, 2.687, 31
39.10, 2.304, 11
39.35, 2.289, 20
41.96, 2.153, 33
60.80, 1.524, 13

---

Entry 5:
This entry pairs a crystal structure of Mg2CdHg9 with its computed X-ray diffraction stick pattern. Radiation: Cu Kα. Structure: a PBE-relaxed structure.

Cell and atoms:
```
Mg2CdHg9
1.0
5.142 0.000 0.000
0.000 3.843 0.000
-0.386 0.000 14.691
Mg Cd Hg
2 1 9
direct
0.144 0.000 0.162 Mg
0.856 0.000 0.838 Mg
0.500 0.000 0.500 Cd
0.000 0.500 0.000 Hg
0.000 0.500 0.500 Hg
0.197 0.000 0.671 Hg
0.293 0.500 0.325 Hg
0.351 0.500 0.836 Hg
0.500 0.000 0.000 Hg
0.649 0.500 0.164 Hg
0.707 0.500 0.675 Hg
0.803 0.000 0.329 Hg
```

Principal peaks in the range 2θ = 10–90°, sorted by position:
Position (°2θ), d [Å], Rel. int.
18.12, 4.895, 19
29.54, 3.023, 15
31.69, 2.823, 100
36.72, 2.447, 68
37.84, 2.378, 65
43.50, 2.080, 19
47.31, 1.922, 17
59.00, 1.566, 30
61.30, 1.512, 24
61.35, 1.511, 15

---

Entry 6:
This entry pairs a crystal structure of Pa2Mn3 with its computed X-ray diffraction stick pattern. Radiation: Cu Kα. Structure: a PBE-relaxed structure.

Cell and atoms:
```
Pa2Mn3
1.0
2.731 -4.951 0.000
2.731 4.951 0.000
0.000 0.000 6.210
Pa Mn
4 6
direct
0.157 0.843 0.899 Pa
0.343 0.657 0.399 Pa
0.657 0.343 0.601 Pa
0.843 0.157 0.101 Pa
0.000 0.000 0.500 Mn
0.138 0.362 0.750 Mn
0.362 0.138 0.250 Mn
0.500 0.500 0.000 Mn
0.638 0.862 0.750 Mn
0.862 0.638 0.250 Mn
```

Principal peaks in the range 2θ = 10–90°, sorted by position:
Position (°2θ), d [Å], Rel. int.
23.48, 3.789, 32
32.79, 2.731, 27
34.44, 2.604, 78
34.89, 2.571, 100
36.29, 2.475, 18
40.42, 2.232, 50
47.62, 1.910, 31
57.74, 1.597, 25
59.59, 1.551, 18
59.89, 1.544, 21

---

Entry 7:
This entry pairs a crystal structure of La2ZrAs with its computed X-ray diffraction stick pattern. Radiation: Cu Kα. Structure: a PBE-relaxed structure.

Cell and atoms:
```
La2ZrAs
1.0
-1.878 2.714 5.538
1.878 -2.714 5.538
1.878 2.714 -5.538
La Zr As
2 1 1
direct
0.000 0.000 0.000 La
0.691 0.191 0.500 La
0.294 0.794 0.500 Zr
0.470 0.470 0.000 As
```

Principal peaks in the range 2θ = 10–90°, sorted by position:
Position (°2θ), d [Å], Rel. int.
25.03, 3.558, 14
29.26, 3.053, 32
32.33, 2.769, 12
33.01, 2.714, 32
33.21, 2.698, 100
47.66, 1.908, 11
48.46, 1.878, 11
59.08, 1.564, 19
59.19, 1.561, 12
59.89, 1.545, 11

---

Entry 8:
This entry pairs a crystal structure of Rb3Cd2Cl8 with its computed X-ray diffraction stick pattern. Radiation: Cu Kα. Structure: a PBE-relaxed structure.

Cell and atoms:
```
Rb3Cd2Cl8
1.0
3.674 2.121 9.519
-3.674 2.121 9.519
0.000 -4.242 9.519
Rb Cd Cl
3 2 8
direct
0.000 0.000 0.000 Rb
0.204 0.204 0.204 Rb
0.796 0.796 0.796 Rb
0.402 0.402 0.402 Cd
0.598 0.598 0.598 Cd
0.206 0.742 0.742 Cl
0.258 0.258 0.794 Cl
0.258 0.794 0.258 Cl
0.316 0.316 0.316 Cl
0.684 0.684 0.684 Cl
0.742 0.206 0.742 Cl
0.742 0.742 0.206 Cl
0.794 0.258 0.258 Cl
```

Principal peaks in the range 2θ = 10–90°, sorted by position:
Position (°2θ), d [Å], Rel. int.
18.66, 4.755, 18
20.90, 4.250, 75
24.23, 3.674, 100
32.21, 2.780, 59
34.42, 2.605, 52
40.70, 2.217, 36
42.58, 2.123, 40
49.59, 1.838, 60
54.27, 1.690, 24
61.79, 1.501, 18

---

Entry 9:
This entry pairs a crystal structure of Pr5Er2Tm3 with its computed X-ray diffraction stick pattern. Radiation: Cu Kα. Structure: a PBE-relaxed structure.

Cell and atoms:
```
Pr5Er2Tm3
1.0
5.358 -7.456 0.000
5.358 7.456 0.000
-5.357 0.000 8.493
Pr Er Tm
10 4 6
direct
0.021 0.979 0.750 Pr
0.137 0.374 0.758 Pr
0.231 0.769 0.750 Pr
0.271 0.729 0.250 Pr
0.374 0.137 0.258 Pr
0.626 0.863 0.742 Pr
0.729 0.271 0.750 Pr
0.769 0.231 0.250 Pr
0.863 0.626 0.242 Pr
0.979 0.021 0.250 Pr
0.225 0.465 0.442 Er
0.465 0.225 0.942 Er
0.535 0.775 0.058 Er
0.775 0.535 0.558 Er
0.030 0.278 0.059 Tm
0.278 0.030 0.559 Tm
0.477 0.523 0.250 Tm
0.523 0.477 0.750 Tm
0.722 0.970 0.441 Tm
0.970 0.722 0.941 Tm
```

Principal peaks in the range 2θ = 10–90°, sorted by position:
Position (°2θ), d [Å], Rel. int.
29.39, 3.039, 95
31.06, 2.879, 100
31.94, 2.802, 23
33.45, 2.679, 46
33.87, 2.647, 19
35.88, 2.503, 27
48.76, 1.868, 23
58.31, 1.582, 17
60.45, 1.532, 34
62.54, 1.485, 26

---

Entry 10:
This entry pairs a crystal structure of Ho2Mn16Mo with its computed X-ray diffraction stick pattern. Radiation: Cu Kα. Structure: a PBE-relaxed structure.

Cell and atoms:
```
Ho2Mn16Mo
1.0
4.342 2.507 3.904
-4.342 2.507 3.904
0.000 -5.014 3.904
Ho Mn Mo
2 16 1
direct
0.000 0.000 0.000 Ho
0.289 0.289 0.289 Ho
0.004 0.004 0.517 Mn
0.004 0.517 0.004 Mn
0.144 0.643 0.643 Mn
0.287 0.287 0.768 Mn
0.287 0.768 0.287 Mn
0.363 0.641 0.920 Mn
0.363 0.920 0.641 Mn
0.517 0.004 0.004 Mn
0.539 0.539 0.539 Mn
0.641 0.363 0.920 Mn
0.641 0.920 0.363 Mn
0.643 0.144 0.643 Mn
0.643 0.643 0.144 Mn
0.768 0.287 0.287 Mn
0.920 0.363 0.641 Mn
0.920 0.641 0.363 Mn
0.743 0.743 0.743 Mo
```

Principal peaks in the range 2θ = 10–90°, sorted by position:
Position (°2θ), d [Å], Rel. int.
30.80, 2.903, 42
32.82, 2.729, 23
35.82, 2.507, 61
38.99, 2.310, 73
41.60, 2.171, 100
42.87, 2.109, 99
44.42, 2.040, 41
45.63, 1.988, 26
61.27, 1.513, 24
83.73, 1.155, 22

---

Entry 11:
This entry pairs a crystal structure of La2NdAl2 with its computed X-ray diffraction stick pattern. Radiation: Cu Kα. Structure: a PBE-relaxed structure.

Cell and atoms:
```
La2NdAl2
1.0
-2.567 3.548 3.972
2.567 -3.548 3.972
2.567 3.548 -3.972
La Nd Al
2 1 2
direct
0.196 0.196 0.000 La
0.804 0.804 0.000 La
0.500 0.000 0.500 Nd
0.191 0.500 0.691 Al
0.809 0.500 0.309 Al
```

Principal peaks in the range 2θ = 10–90°, sorted by position:
Position (°2θ), d [Å], Rel. int.
20.60, 4.312, 31
25.10, 3.548, 43
31.13, 2.873, 100
32.69, 2.740, 47
34.95, 2.567, 29
36.21, 2.481, 30
43.52, 2.080, 20
48.16, 1.890, 20
51.21, 1.784, 22
67.07, 1.396, 16